Theoretical X-ray powder pattern
Compound: Pr2Co7
Radiation: copper Kα
Structure: a structure optimized by DFT (PBE)
Lines closer than 0.1° are merged.

Structural model:
```
Pr2Co7
1.0
2.535 1.464 12.223
-2.535 1.464 12.223
0.000 -2.927 12.223
Pr Co
4 14
Direct
0.051 0.051 0.051
0.148 0.148 0.148
0.852 0.852 0.852
0.949 0.949 0.949
0.000 0.500 0.500
0.112 0.605 0.605
0.279 0.279 0.279
0.387 0.387 0.387
0.395 0.395 0.888
0.395 0.888 0.395
0.500 0.000 0.500
0.500 0.500 0.000
0.500 0.500 0.500
0.605 0.112 0.605
0.605 0.605 0.112
0.613 0.613 0.613
0.721 0.721 0.721
0.888 0.395 0.395
```

The 10 most intense peaks (10 to 90 degrees two-theta), low angle first:
| two_theta | Rel. int. |
| --- | --- |
| 31.79 | 42 |
| 33.76 | 30 |
| 35.41 | 47 |
| 41.19 | 35 |
| 41.98 | 100 |
| 44.47 | 15 |
| 61.31 | 12 |
| 66.43 | 12 |
| 68.07 | 22 |
| 74.92 | 21 |